(1)
Simulated XRD peak list of ZnFeF4 for Cu Ka, from a cell relaxed with PBE+U.

Atomic structure:
a b c (Å): 6.3613 6.3613 6.3613
angles (deg): 133.05 130.61 70.52
Positions (direct):
Zn: 0.2500 0.2500 0.0000
Zn: 0.7500 0.7500 0.0000
Fe: 0.0000 0.5000 0.5000
Fe: 0.5000 0.0000 0.5000
F: 0.0538 0.1128 0.4195
F: 0.1933 0.6128 0.0590
F: 0.3067 0.3657 0.4195
F: 0.4462 0.8657 0.0590
F: 0.5538 0.1343 0.9410
F: 0.6933 0.6343 0.5805
F: 0.8067 0.3872 0.9410
F: 0.9462 0.8872 0.5805

Peak list (10 most intense, 2θ = 10–90°, by intensity)
two_theta	I (rel.)
29.8	100
50.3	26
49.0	22
49.7	21
57.9	14
59.0	13
60.2	12
33.7	7
79.7	5
61.9	5

(2)
Simulated XRD peak list of ZnFe2F8 for Cu Ka, from a cell relaxed with PBE+U.

Atomic structure:
a b c (Å): 5.9274 5.9274 4.1687
angles (deg): 90.27 90.27 69.91
Positions (direct):
Zn: 0.0000 0.0000 0.0000
Fe: 0.3697 0.3697 0.7476
Fe: 0.6303 0.6303 0.2524
F: 0.1209 0.6706 0.7663
F: 0.1789 0.1789 0.7393
F: 0.3294 0.8791 0.2337
F: 0.4092 0.4092 0.2553
F: 0.5908 0.5908 0.7447
F: 0.6706 0.1209 0.7663
F: 0.8211 0.8211 0.2607
F: 0.8791 0.3294 0.2337

Peak list (10 most intense, 2θ = 10–90°, by intensity)
two_theta	I (rel.)
26.8	100
26.2	70
28.1	64
46.6	44
30.6	39
18.3	26
48.7	24
54.0	23
46.5	22
61.2	22

(3)
Simulated XRD peak list of Zr2Fe2F3 for Cu Ka, from a cell relaxed with PBE+U.

Atomic structure:
a b c (Å): 6.2278 6.2278 6.2179
angles (deg): 90.43 90.43 74.09
Positions (direct):
Zr: 0.0000 0.0000 0.0000
Zr: 0.2528 0.8864 0.5013
Zr: 0.3847 0.3847 0.5985
Zr: 0.8864 0.2528 0.5013
Fe: 0.0966 0.5671 0.2638
Fe: 0.5499 0.5499 0.2601
Fe: 0.5671 0.0966 0.2638
Fe: 0.7914 0.7914 0.5449
F: 0.1869 0.1869 0.7850
F: 0.2661 0.7106 0.8180
F: 0.3313 0.9667 0.1360
F: 0.7106 0.2661 0.8180
F: 0.7985 0.7985 0.8839
F: 0.9667 0.3313 0.1360

Peak list (10 most intense, 2θ = 10–90°, by intensity)
two_theta	I (rel.)
14.2	100
39.9	86
33.3	86
33.1	85
41.8	80
32.4	53
17.8	42
33.0	39
59.4	36
20.6	33

(4)
Simulated XRD peak list of ZrFe2F11 for Cu Ka, from a cell relaxed with PBE+U.

Atomic structure:
a b c (Å): 7.9410 7.9410 7.9410
angles (deg): 123.32 105.82 100.25
Positions (direct):
Zr: 0.2500 0.2500 0.0000
Zr: 0.7500 0.7500 0.0000
Fe: 0.1946 0.6614 0.8560
Fe: 0.3054 0.1614 0.4667
Fe: 0.6946 0.8386 0.5333
Fe: 0.8054 0.3386 0.1440
F: 0.0000 0.5000 0.5000
F: 0.0289 0.9643 0.2754
F: 0.0536 0.3511 0.1383
F: 0.1889 0.4643 0.9354
F: 0.1982 0.3940 0.5922
F: 0.2128 0.9153 0.8617
F: 0.2872 0.1489 0.7024
F: 0.3018 0.8940 0.1958
F: 0.3111 0.2465 0.2754
F: 0.4464 0.5847 0.2976
F: 0.4711 0.7465 0.9354
F: 0.5000 0.0000 0.5000
F: 0.5289 0.2535 0.0646
F: 0.5536 0.4153 0.7024
F: 0.6889 0.7535 0.7246
F: 0.6982 0.1060 0.8042
F: 0.7128 0.8511 0.2976
F: 0.7872 0.0847 0.1383
F: 0.8018 0.6060 0.4078
F: 0.8111 0.5357 0.0646
F: 0.9464 0.6489 0.8617
F: 0.9711 0.0357 0.7246

Peak list (10 most intense, 2θ = 10–90°, by intensity)
two_theta	I (rel.)
23.0	100
25.5	60
15.0	44
49.5	27
26.9	27
52.5	26
47.2	25
47.1	21
23.7	18
48.0	15

(5)
Simulated XRD peak list of Zr3FeF6 for Cu Ka, from a cell relaxed with PBE+U.

Atomic structure:
a b c (Å): 6.2827 6.3050 7.5441
angles (deg): 114.06 90.18 119.80
Positions (direct):
Zr: 0.0000 0.0000 0.0000
Zr: 0.0000 0.5000 0.0000
Zr: 0.5000 0.0000 0.0000
Fe: 0.0000 0.5000 0.5000
F: 0.0842 0.6689 0.3062
F: 0.0863 0.2151 0.3044
F: 0.3715 0.7846 0.6956
F: 0.6285 0.2154 0.3044
F: 0.9137 0.7849 0.6956
F: 0.9158 0.3311 0.6938

Peak list (10 most intense, 2θ = 10–90°, by intensity)
two_theta	I (rel.)
16.8	100
34.1	61
13.3	46
33.2	31
26.8	17
33.0	16
49.4	15
31.5	11
40.7	9
49.8	8